1.
# Ca2Ta2FeO8
Calculated powder XRD pattern, a wavelength of 1.5418 Å. Input: the PBE+U geometry in the Materials Project.
Neutral-atom scattering factors, no anomalous dispersion.

Structural model:
```
data_Ca2Ta2FeO8
_symmetry_space_group_name_H-M 'C 1 2 1'
_symmetry_Int_Tables_number 5
_symmetry_space_group_name_Hall 'C 2y'
_cell_length_a 19.055
_cell_length_b 6.477
_cell_length_c 5.444
_cell_angle_alpha 90.00
_cell_angle_beta 92.08
_cell_angle_gamma 90.00
loop_
_atom_site_label
_atom_site_type_symbol
_atom_site_fract_x
_atom_site_fract_y
_atom_site_fract_z
_atom_site_occupancy
Ca1 Ca 0.209 0.000 0.494 1
Ca2 Ca 0.209 0.336 0.994 1
Ta1 Ta 0.113 0.523 0.493 1
Ta2 Ta 0.113 0.813 0.994 1
Fe1 Fe 0.000 0.024 0.500 1
Fe2 Fe 0.000 0.313 0.000 1
O1 O 0.058 0.014 0.825 1
O2 O 0.058 0.321 0.325 1
O3 O 0.071 0.549 0.825 1
O4 O 0.071 0.787 0.325 1
O5 O 0.183 0.604 0.234 1
O6 O 0.183 0.733 0.734 1
O7 O 0.186 0.010 0.088 1
O8 O 0.186 0.326 0.589 1
```

Largest 6 diffraction maxima, by angle, 10° ≤ 2θ ≤ 90°:
d (Å)	I (rel.)	index
6.132	62	1 1 0
4.761	65	4 0 0
3.283	69	5 1 0
2.850	77	5 1 -1
2.783	100	0 2 1
2.773	70	5 1 1



2.
# Na3VSi4H2O12
Calculated powder XRD pattern, a wavelength of 1.5418 Å. Input: the PBE+U geometry in the Materials Project.
Neutral-atom scattering factors, no anomalous dispersion.

Structural model:
```
data_Na3VSi4H2O12
_symmetry_space_group_name_H-M 'P -1'
_symmetry_Int_Tables_number 2
_symmetry_space_group_name_Hall '-P 1'
_cell_length_a 7.605
_cell_length_b 8.789
_cell_length_c 9.224
_cell_angle_alpha 62.46
_cell_angle_beta 83.90
_cell_angle_gamma 88.45
loop_
_atom_site_label
_atom_site_type_symbol
_atom_site_fract_x
_atom_site_fract_y
_atom_site_fract_z
_atom_site_occupancy
Na1 Na 0.138 0.103 0.175 1
Na2 Na 0.158 0.646 0.576 1
Na3 Na 0.353 0.763 0.871 1
V1 V 0.000 0.500 0.000 1
V2 V 0.500 0.000 0.000 1
Si1 Si 0.102 0.755 0.167 1
Si2 Si 0.235 0.408 0.307 1
Si3 Si 0.276 0.210 0.682 1
Si4 Si 0.386 0.409 0.843 1
H1 H 0.304 0.016 0.465 1
H2 H 0.406 0.930 0.362 1
O1 O 0.059 0.714 0.020 1
O2 O 0.069 0.163 0.767 1
O3 O 0.104 0.339 0.225 1
O4 O 0.139 0.568 0.335 1
O5 O 0.234 0.532 0.863 1
O6 O 0.267 0.885 0.118 1
O7 O 0.270 0.250 0.489 1
O8 O 0.294 0.925 0.433 1
O9 O 0.342 0.390 0.678 1
O10 O 0.406 0.222 0.996 1
O11 O 0.408 0.054 0.768 1
O12 O 0.428 0.477 0.201 1
```

Largest 6 diffraction maxima, by angle, 10° ≤ 2θ ≤ 90°:
d (Å)	I (rel.)	index
8.134	100	0 0 1
7.791	36	0 1 0
5.358	38	1 1 0
3.297	90	2 0 -1
2.938	48	1 -1 2
2.926	56	1 1 3



3.
# MgFe2P2O10
Calculated powder XRD pattern, a wavelength of 1.5418 Å. Input: the PBE+U geometry in the Materials Project.
Neutral-atom scattering factors, no anomalous dispersion.

Structural model:
```
data_MgFe2P2O10
_symmetry_space_group_name_H-M 'F d d d'
_symmetry_Int_Tables_number 70
_cell_length_a 7.103
_cell_length_b 11.172
_cell_length_c 16.444
_cell_angle_alpha 90.00
_cell_angle_beta 90.00
_cell_angle_gamma 90.00
loop_
_symmetry_equiv_pos_as_xyz
'x,y,z'
'-x,-y,-z'
'-x+1/4,-y+1/4,z'
'x+1/4,y+1/4,-z'
'x,-y+1/4,-z+1/4'
'-x,y+1/4,z+1/4'
'-x+1/4,y,-z+1/4'
'x+1/4,-y,z+1/4'
'x,y+1/2,z+1/2'
'-x,-y+1/2,-z+1/2'
'-x+1/4,-y+3/4,z+1/2'
'x+1/4,y+3/4,-z+1/2'
'x,-y+3/4,-z+3/4'
'-x,y+3/4,z+3/4'
'-x+1/4,y+1/2,-z+3/4'
'x+1/4,-y+1/2,z+3/4'
'x+1/2,y,z+1/2'
'-x+1/2,-y,-z+1/2'
'-x+3/4,-y+1/4,z+1/2'
'x+3/4,y+1/4,-z+1/2'
'x+1/2,-y+1/4,-z+3/4'
'-x+1/2,y+1/4,z+3/4'
'-x+3/4,y,-z+3/4'
'x+3/4,-y,z+3/4'
'x+1/2,y+1/2,z'
'-x+1/2,-y+1/2,-z'
'-x+3/4,-y+3/4,z'
'x+3/4,y+3/4,-z'
'x+1/2,-y+3/4,-z+1/4'
'-x+1/2,y+3/4,z+1/4'
'-x+3/4,y+1/2,-z+1/4'
'x+3/4,-y+1/2,z+1/4'
loop_
_atom_site_label
_atom_site_type_symbol
_atom_site_fract_x
_atom_site_fract_y
_atom_site_fract_z
_atom_site_occupancy
Mg1 Mg 0.125 0.125 0.125 1
Fe1 Fe 0.000 0.000 0.500 1
P1 P 0.125 0.125 0.333 1
O1 O 0.047 0.360 0.525 1
O2 O 0.090 0.014 0.862 1
O3 O 0.125 0.125 0.546 1
```

Largest 6 diffraction maxima, by angle, 10° ≤ 2θ ≤ 90°:
d (Å)	I (rel.)	index
5.632	39	1 1 1
3.234	51	1 3 1
2.883	100	1 1 5
2.826	66	1 3 3
2.816	55	2 2 2
2.023	29	2 2 6